No. 1
Starting from a DFT-relaxed cell (PBE, Alexandria), the powder X-ray diffraction pattern of Pu3GePt2 was calculated for Cu Kα, 1.54184 Å.
No peak broadening, texture or thermal motion is included.

Structure:
```
data_Pu3GePt2
_chemical_formula_sum 'Pu12 Ge4 Pt8'
_space_group_name_H-M_alt 'P 1 21/c 1'
_space_group_IT_number 14
_space_group_name_Hall '-P 2ybc'
_cell_length_a 7.1568
_cell_length_b 8.8667
_cell_length_c 8.9740
_cell_angle_alpha 90.00
_cell_angle_beta 111.82
_cell_angle_gamma 90.00
loop_
_atom_site_label
_atom_site_type_symbol
_atom_site_fract_x
_atom_site_fract_y
_atom_site_fract_z
Pu1 Pu 0.1946 0.0835 0.4526
Pu2 Pu 0.1951 0.5970 0.6719
Pu3 Pu 0.2952 0.0300 0.8431
Ge1 Ge 0.4016 0.7169 0.9988
Pt1 Pt 0.0063 0.7339 0.3645
Pt2 Pt 0.4139 0.1862 0.1945
```

Top 10 peaks for 10° ≤ 2θ ≤ 90°, low angle first:
Position (°2θ)  intensity  index
28.42  34  1 2 1
32.15  82  2 2 -1
33.30  32  1 3 -1
33.71  91  2 2 0
33.83  100  0 1 3
35.03  62  2 1 -3
36.83  55  1 3 -2
37.30  82  0 3 2
39.66  56  3 1 -2
41.86  72  2 1 2


No. 2
Starting from a DFT-relaxed cell (PBE, Alexandria), the powder X-ray diffraction pattern of Pu6Ge2Pt was calculated for Cu Kα, 1.54184 Å.
No peak broadening, texture or thermal motion is included.

Structure:
```
data_Pu6Ge2Pt
_chemical_formula_sum 'Pu6 Ge2 Pt1'
_space_group_name_H-M_alt 'P 6/m m m'
_space_group_IT_number 191
_space_group_name_Hall '-P 6 2'
_cell_length_a 8.6568
_cell_length_b 8.6568
_cell_length_c 3.0770
_cell_angle_alpha 90.00
_cell_angle_beta 90.00
_cell_angle_gamma 120.00
loop_
_atom_site_label
_atom_site_type_symbol
_atom_site_fract_x
_atom_site_fract_y
_atom_site_fract_z
Pu1 Pu 0.0000 0.3322 0.0000
Ge1 Ge 0.3333 0.6667 0.5000
Pt1 Pt 0.0000 0.0000 0.5000
```

Top 10 peaks for 10° ≤ 2θ ≤ 90°, low angle first:
Position (°2θ)  intensity  index
20.52  16  1 1 0
29.02  21  0 0 1
35.80  72  1 1 1
35.94  100  3 0 0
46.83  36  3 0 1
51.63  26  2 2 1
64.55  46  3 3 0
72.09  27  3 0 2
76.19  12  6 0 0
87.15  12  5 2 1


No. 3
Starting from a DFT-relaxed cell (PBE, Alexandria), the powder X-ray diffraction pattern of Pu3Ge4Pt7 was calculated for Cu Kα, 1.54184 Å.
No peak broadening, texture or thermal motion is included.

Structure:
```
data_Pu3Ge4Pt7
_chemical_formula_sum 'Pu6 Ge8 Pt14'
_space_group_name_H-M_alt 'C 1 2/m 1'
_space_group_IT_number 12
_space_group_name_Hall '-C 2y'
_cell_length_a 15.7957
_cell_length_b 4.1003
_cell_length_c 9.7626
_cell_angle_alpha 90.00
_cell_angle_beta 125.49
_cell_angle_gamma 90.00
loop_
_atom_site_label
_atom_site_type_symbol
_atom_site_fract_x
_atom_site_fract_y
_atom_site_fract_z
Pu1 Pu 0.0000 0.0000 0.0000
Pu2 Pu 0.1738 0.5000 0.6718
Ge1 Ge 0.1113 0.0000 0.8295
Ge2 Ge 0.1653 0.5000 0.2666
Pt1 Pt 0.0000 0.0000 0.5000
Pt2 Pt 0.0103 0.5000 0.2842
Pt3 Pt 0.1662 0.0000 0.4248
Pt4 Pt 0.1914 0.5000 0.0359
```

Top 10 peaks for 10° ≤ 2θ ≤ 90°, low angle first:
Position (°2θ)  intensity  index
34.93  100  1 1 2
35.23  28  3 1 -3
35.41  17  6 0 -3
35.96  74  5 1 -2
36.87  25  4 0 -4
38.48  24  5 1 -3
42.16  38  6 0 0
44.18  49  0 2 0
62.71  24  6 2 0
66.49  23  9 1 -6


No. 4
Starting from a DFT-relaxed cell (PBE, Alexandria), the powder X-ray diffraction pattern of Pu2Ge4RuPt3 was calculated for Cu Kα, 1.54184 Å.
No peak broadening, texture or thermal motion is included.

Structure:
```
data_Pu2Ge4RuPt3
_chemical_formula_sum 'Pu2 Ge4 Ru1 Pt3'
_space_group_name_H-M_alt 'P -4 m 2'
_space_group_IT_number 115
_space_group_name_Hall 'P -4 -2'
_cell_length_a 4.2418
_cell_length_b 4.2418
_cell_length_c 10.4323
_cell_angle_alpha 90.00
_cell_angle_beta 90.00
_cell_angle_gamma 90.00
loop_
_atom_site_label
_atom_site_type_symbol
_atom_site_fract_x
_atom_site_fract_y
_atom_site_fract_z
Pu1 Pu 0.0000 0.5000 0.2498
Ge1 Ge 0.0000 0.0000 0.0000
Ge2 Ge 0.0000 0.5000 0.6295
Ge3 Ge 0.5000 0.5000 0.0000
Ru1 Ru 0.0000 0.0000 0.5000
Pt1 Pt 0.0000 0.5000 0.8664
Pt2 Pt 0.5000 0.5000 0.5000
```

Top 10 peaks for 10° ≤ 2θ ≤ 90°, low angle first:
Position (°2θ)  intensity  index
29.79  24  1 1 0
33.32  74  1 0 3
34.49  100  1 1 2
42.63  63  2 0 0
48.63  36  1 0 5
55.15  36  2 1 3
61.87  21  2 2 0
66.63  28  2 1 5
72.80  25  3 1 2
87.89  16  2 0 8


No. 5
Starting from a DFT-relaxed cell (PBE, Alexandria), the powder X-ray diffraction pattern of Pu4Ge2SbPt was calculated for Cu Kα, 1.54184 Å.
No peak broadening, texture or thermal motion is included.

Structure:
```
data_Pu4Ge2SbPt
_chemical_formula_sum 'Pu12 Ge6 Sb3 Pt3'
_space_group_name_H-M_alt 'R -3 m'
_space_group_IT_number 166
_space_group_name_Hall '-R 3 2"'
_cell_length_a 5.0230
_cell_length_b 5.0230
_cell_length_c 26.2493
_cell_angle_alpha 90.00
_cell_angle_beta 90.00
_cell_angle_gamma 120.00
loop_
_atom_site_label
_atom_site_type_symbol
_atom_site_fract_x
_atom_site_fract_y
_atom_site_fract_z
Pu1 Pu 0.0000 0.0000 0.1170
Pu2 Pu 0.0000 0.0000 0.3649
Ge1 Ge 0.0000 0.0000 0.2497
Sb1 Sb 0.0000 0.0000 0.5000
Pt1 Pt 0.0000 0.0000 0.0000
```

Top 10 peaks for 10° ≤ 2θ ≤ 90°, low angle first:
Position (°2θ)  intensity  index
24.55  26  1 0 4
34.23  97  0 1 8
35.75  100  1 1 0
50.33  33  2 0 8
60.29  12  1 0 16
63.26  34  1 2 8
64.24  19  3 0 0
75.75  12  2 2 0
83.18  10  2 1 16
85.81  15  3 1 8


No. 6
Starting from a DFT-relaxed cell (PBE, Alexandria), the powder X-ray diffraction pattern of PuGe2Sb2Pt7 was calculated for Cu Kα, 1.54184 Å.
No peak broadening, texture or thermal motion is included.

Structure:
```
data_PuGe2Sb2Pt7
_chemical_formula_sum 'Pu2 Ge4 Sb4 Pt14'
_space_group_name_H-M_alt 'I 4/m m m'
_space_group_IT_number 139
_space_group_name_Hall '-I 4 2'
_cell_length_a 3.9671
_cell_length_b 3.9671
_cell_length_c 31.2046
_cell_angle_alpha 90.00
_cell_angle_beta 90.00
_cell_angle_gamma 90.00
loop_
_atom_site_label
_atom_site_type_symbol
_atom_site_fract_x
_atom_site_fract_y
_atom_site_fract_z
Pu1 Pu 0.0000 0.0000 0.0000
Ge1 Ge 0.0000 0.0000 0.3783
Sb1 Sb 0.0000 0.0000 0.2128
Pt1 Pt 0.0000 0.0000 0.2995
Pt2 Pt 0.0000 0.0000 0.5000
Pt3 Pt 0.0000 0.5000 0.0722
```

Top 10 peaks for 10° ≤ 2θ ≤ 90°, low angle first:
Position (°2θ)  intensity  index
11.34  36  0 0 4
28.61  26  0 0 10
32.43  32  1 1 2
33.96  46  1 1 4
36.39  100  1 1 6
39.57  44  1 1 8
40.47  31  0 0 14
43.37  58  1 1 10
45.74  74  2 0 0
62.70  35  2 0 14